This entry pairs a crystal structure of Ac8LaTb4 with its computed powder X-ray diffraction pattern. Radiation: Cu Ka. Structure: a DFT-relaxed cell (GGA-PBE, Alexandria).

Cell and atoms:
```
data_Ac8LaTb4
_space_group_name_H-M_alt 'R -3 m'
_space_group_IT_number 166
_space_group_name_Hall '-R 3 2"'
_cell_length_a 11.8392
_cell_length_b 11.8392
_cell_length_c 14.4729
_cell_angle_alpha 90.00
_cell_angle_beta 90.00
_cell_angle_gamma 120.00
loop_
_atom_site_label
_atom_site_type_symbol
_atom_site_fract_x
_atom_site_fract_y
_atom_site_fract_z
_atom_site_occupancy
Ac1 Ac 0.0000 0.0000 0.2400 1
Ac2 Ac 0.0132 0.5066 0.7464 1
La1 La 0.0000 0.0000 0.5000 1
Tb1 Tb 0.0000 0.0000 0.0000 1
Tb2 Tb 0.0000 0.5000 0.0000 1
```

Main lines, in order of falling intensity (10° ≤ 2θ ≤ 80°):
hkl  d/Å  Rel. int.
2 2 0  2.958  100
6 0 0  1.708  39
4 0 4  2.092  19
2 0 2  4.183  18
6 2 4  1.323  16
4 4 0  1.479  12
0 0 3  4.830  9
4 2 2  1.871  8